Entry 1:
Eu4O3F7: theoretical powder X-ray diffraction pattern (Cu Ka), based on a cell relaxed with GGA-PBE.
Kinematic intensities with the Lorentz-polarization factor, no thermal factor.

Structure:
```
Eu4O3F7
1.0
5.431 0.000 0.000
0.000 5.749 0.000
-0.106 0.000 5.870
Eu O F
4 3 7
Direct
0.226 0.000 0.253 Eu
0.265 0.517 0.749 Eu
0.735 0.517 0.251 Eu
0.774 0.000 0.747 Eu
0.000 0.723 0.000 O
0.000 0.765 0.500 O
0.500 0.750 0.500 O
0.000 0.288 0.500 F
0.187 0.116 0.852 F
0.315 0.406 0.151 F
0.500 0.225 0.500 F
0.500 0.798 0.000 F
0.685 0.406 0.849 F
0.813 0.116 0.148 F
```

Principal peaks in the range 2θ from 5° to 70°, low angle first:
27.06°, d = 3.296 Å, intensity 100; 27.39°, d = 3.256 Å, intensity 89; 30.45°, d = 2.935 Å, intensity 31; 31.12°, d = 2.874 Å, intensity 30; 44.10°, d = 2.054 Å, intensity 42; 45.97°, d = 1.974 Å, intensity 57

---

Entry 2:
RbEu3F10: theoretical powder X-ray diffraction pattern (Cu Ka), based on a cell relaxed with GGA-PBE.
Kinematic intensities with the Lorentz-polarization factor, no thermal factor.

Structure:
```
RbEu3F10
1.0
0.000 6.010 6.010
6.010 0.000 6.010
6.010 6.010 0.000
Rb Eu F
2 6 20
Direct
0.250 0.250 0.250 Rb
0.750 0.750 0.750 Rb
0.239 0.239 0.761 Eu
0.239 0.761 0.239 Eu
0.239 0.761 0.761 Eu
0.761 0.239 0.239 Eu
0.761 0.239 0.761 Eu
0.761 0.761 0.239 Eu
0.111 0.111 0.111 F
0.111 0.111 0.666 F
0.111 0.666 0.111 F
0.170 0.500 0.500 F
0.170 0.500 0.830 F
0.170 0.830 0.500 F
0.334 0.889 0.889 F
0.500 0.170 0.500 F
0.500 0.170 0.830 F
0.500 0.500 0.170 F
0.500 0.500 0.830 F
0.500 0.830 0.170 F
0.500 0.830 0.500 F
0.666 0.111 0.111 F
0.830 0.170 0.500 F
0.830 0.500 0.170 F
0.830 0.500 0.500 F
0.889 0.334 0.889 F
0.889 0.889 0.334 F
0.889 0.889 0.889 F
```

Principal peaks in the range 2θ from 5° to 70°, low angle first:
25.67°, d = 3.470 Å, intensity 100; 29.73°, d = 3.005 Å, intensity 42; 42.54°, d = 2.125 Å, intensity 49; 50.35°, d = 1.812 Å, intensity 56; 52.76°, d = 1.735 Å, intensity 13; 67.99°, d = 1.379 Å, intensity 20